Starting from DFT lattice parameters and positions (GGA-PBE), the powder X-ray diffraction pattern of Rb2CoCl4 was calculated for Cu Kα (λ = 1.5418 Å).

Cell: 9.435 7.310 13.051 Å, 90.00 90.00 90.00°
Space group Pnma (No. 62)
Inequivalent atoms, fractional coordinates:
Rb: 0.018 0.250 0.177 (multiplicity 4)
Rb: 0.132 0.750 0.422 (multiplicity 4)
Co: 0.228 0.750 0.074 (multiplicity 4)
Cl: 0.010 0.250 0.914 (multiplicity 4)
Cl: 0.178 0.000 0.649 (multiplicity 8)
Cl: 0.189 0.250 0.411 (multiplicity 4)

Largest 8 diffraction maxima, by angle, 2θ = 10–90°:
| hkl | two_theta | I/Imax |
| --- | --- | --- |
| 1 1 2 | 20.53 | 38 |
| 0 1 3 | 23.80 | 90 |
| 0 2 0 | 24.35 | 87 |
| 2 0 3 | 27.93 | 40 |
| 3 0 1 | 29.21 | 61 |
| 3 1 1 | 31.72 | 100 |
| 1 2 3 | 33.40 | 40 |
| 2 2 3 | 37.36 | 38 |